This entry pairs a crystal structure of Mg14ZnFeO16 with its theoretical powder diffraction line list. Radiation: λ = 1.5418 Å (Cu Kα). Structure: a crystal structure in Alexandria, relaxed with PBE+U.

Principal peaks in the range 2θ from 10° to 90°, sorted by position:
(0 0 1), 8.554 Å, 2θ 10.34, intensity 16; (0 0 2), 4.272 Å, 2θ 20.79, intensity 11; (0 2 1), 3.820 Å, 2θ 23.29, intensity 11; (1 2 2), 2.466 Å, 2θ 36.43, intensity 29; (2 0 0), 2.139 Å, 2θ 42.25, intensity 100; (0 4 0), 2.130 Å, 2θ 42.45, intensity 49; (2 0 4), 1.513 Å, 2θ 61.29, intensity 28; (2 4 0), 1.509 Å, 2θ 61.44, intensity 56; (1 2 6), 1.289 Å, 2θ 73.44, intensity 11; (2 4 4), 1.233 Å, 2θ 77.39, intensity 26

Structure:
a = 4.279 Å, b = 8.518 Å, c = 8.555 Å
α = 90.00°, β = 90.00°, γ = 90.00°
Element x y z (fractional)
Mg1 0.000 0.000 0.000
Mg2 0.000 0.250 0.249
Mg3 0.000 0.250 0.751
Mg4 0.000 0.500 0.000
Mg5 0.000 0.750 0.249
Mg6 0.000 0.750 0.751
Mg7 0.500 0.000 0.250
Mg8 0.500 0.000 0.750
Mg9 0.500 0.250 0.000
Mg10 0.500 0.250 0.500
Mg11 0.500 0.500 0.250
Mg12 0.500 0.500 0.750
Mg13 0.500 0.750 0.000
Mg14 0.500 0.750 0.500
Zn1 0.000 0.000 0.500
Fe1 0.000 0.500 0.500
O1 0.000 0.000 0.247
O2 0.000 0.000 0.753
O3 0.000 0.249 0.000
O4 0.000 0.252 0.500
O5 0.000 0.500 0.243
O6 0.000 0.500 0.757
O7 0.000 0.748 0.500
O8 0.000 0.751 0.000
O9 0.500 0.000 0.000
O10 0.500 0.000 0.500
O11 0.500 0.250 0.251
O12 0.500 0.250 0.749
O13 0.500 0.500 0.000
O14 0.500 0.500 0.500
O15 0.500 0.750 0.251
O16 0.500 0.750 0.749